FeHO2: computed powder diffractogram (Cu Kα (weighted mean of Kα1 and Kα2)), based on a DFT-relaxed cell (GGA+U, the Materials Project).
Intensities are scaled so that the largest is 1000.

Structure:
```
data_FeHO2
_chemical_formula_sum 'Fe4 H4 O8'
_space_group_name_H-M_alt 'P 1'
_space_group_IT_number 1
_space_group_name_Hall 'P 1'
_cell_length_a 14.2326
_cell_length_b 2.9813
_cell_length_c 5.2030
_cell_angle_alpha 90.00
_cell_angle_beta 90.00
_cell_angle_gamma 90.00
loop_
_atom_site_label
_atom_site_fract_x
_atom_site_fract_y
_atom_site_fract_z
Fe1 0.1848 0.2500 0.0023
Fe2 0.3152 0.7500 0.5023
Fe3 0.6848 0.2500 0.4977
Fe4 0.8152 0.7500 0.9977
H1 0.0396 0.7500 0.9414
H2 0.4604 0.2500 0.4414
H3 0.5396 0.7500 0.5586
H4 0.9604 0.2500 0.0586
O1 0.0877 0.7500 0.0757
O2 0.2392 0.7500 0.8026
O3 0.2608 0.2500 0.3026
O4 0.4123 0.2500 0.5757
O5 0.5877 0.7500 0.4243
O6 0.7392 0.7500 0.6974
O7 0.7608 0.2500 0.1974
O8 0.9123 0.2500 0.9243
```

Peak list (10 most intense, 10° ≤ 2θ ≤ 90°, most intense first)
hkl 2 0 0, 12.44°, I 1000; hkl 1 0 1, 18.15°, I 563; hkl 3 0 1, 25.41°, I 511; hkl 4 1 0, 39.44°, I 245; hkl 1 1 1, 35.26°, I 216; hkl 4 1 2, 53.36°, I 176; hkl 0 2 0, 62.28°, I 133; hkl 7 1 1, 57.67°, I 132; hkl 0 0 2, 34.48°, I 112; hkl 5 0 1, 35.96°, I 104